(1)
This entry pairs a crystal structure of Nb3Br7N2O5 with its calculated powder diffractogram. Radiation: Cu Kα (weighted mean of Kα1 and Kα2). Structure: a DFT-relaxed cell (GGA-PBE, the Materials Project).
Peak positions follow from Bragg's law for the DFT cell and can differ from measured ones.

Main lines, by intensity (10 to 90 degrees two-theta):
d/Å	Position (°2θ)	I_rel
8.549	10.3	100.0
3.469	25.7	87.7
3.445	25.9	66.5
2.850	31.4	65.8
4.836	18.3	48.8
2.875	31.1	42.1
1.993	45.5	35.5
2.025	44.8	29.5
3.495	25.5	25.0
2.478	36.2	24.7

Structure:
```
34
Lattice="9.100 -4.472 0.000 9.100 4.472 0.000 -3.942 0.000 10.806" Properties=species:S:1:pos:R:3 pbc="T T T"
Nb 6.144 4.188 8.104
Nb 8.961 1.921 0.223
Nb 7.268 1.921 5.180
Nb 6.990 -1.921 5.626
Nb 5.297 -1.921 10.582
Nb 8.114 -4.188 2.701
Br 1.406 0.570 3.582
Br 2.562 1.904 10.340
Br 4.921 1.904 4.040
Br -0.565 -0.570 8.985
Br 8.114 0.690 2.701
Br 11.308 1.904 1.363
Br 9.725 1.904 5.869
Br 4.533 -1.904 4.937
Br 2.950 -1.904 9.443
Br 6.144 -0.690 8.104
Br 14.823 0.570 1.821
Br 9.337 -1.904 6.766
Br 11.696 -1.904 0.466
Br 12.852 -0.570 7.224
N 2.953 0.428 6.955
N 4.924 -0.428 1.552
N 9.334 0.428 9.254
N 11.305 -0.428 3.851
O 8.580 3.517 1.371
O 7.649 3.517 4.032
O 5.631 2.615 9.479
O 6.656 2.615 6.730
O 9.100 0.000 0.000
O 7.129 0.000 5.403
O 7.602 -2.615 4.076
O 8.627 -2.615 1.327
O 6.609 -3.517 6.774
O 5.678 -3.517 9.434
```

---

(2)
This entry pairs a crystal structure of Nd6S4BrN3 with its calculated powder diffractogram. Radiation: Cu Kα (weighted mean of Kα1 and Kα2). Structure: a DFT-relaxed cell (GGA-PBE, the Materials Project).
Peak positions follow from Bragg's law for the DFT cell and can differ from measured ones.

Main lines, by intensity (10 to 90 degrees two-theta):
d/Å	Position (°2θ)	I_rel
3.353	26.6	100.0
3.325	26.8	71.3
2.660	33.7	52.8
2.807	31.9	36.6
1.727	53.0	33.2
2.015	45.0	31.4
3.125	28.6	30.9
2.745	32.6	20.4
1.988	45.6	19.8
2.377	37.8	18.6

Structure:
```
56
Lattice="11.538 0.000 0.000 0.000 4.029 0.000 0.000 0.000 27.393" Properties=species:S:1:pos:R:3 pbc="T T T"
Nd 0.668 1.007 2.137
Nd 0.721 1.007 22.122
Nd 1.147 1.007 14.661
Nd 1.433 1.007 7.749
Nd 2.803 3.022 4.679
Nd 2.860 3.022 11.936
Nd 2.909 1.007 25.633
Nd 2.965 1.007 18.375
Nd 4.336 3.022 21.445
Nd 4.622 3.022 0.964
Nd 5.048 3.022 8.425
Nd 5.101 3.022 15.833
Nd 6.437 1.007 11.560
Nd 6.489 1.007 18.968
Nd 6.916 1.007 26.429
Nd 7.201 1.007 5.948
Nd 8.572 3.022 9.018
Nd 8.628 3.022 1.760
Nd 8.678 1.007 15.457
Nd 8.734 1.007 22.714
Nd 10.105 3.022 19.644
Nd 10.391 3.022 12.733
Nd 10.817 3.022 5.272
Nd 10.870 3.022 25.257
S 1.579 3.022 20.151
S 1.651 3.022 27.218
S 2.217 3.022 23.610
S 2.394 3.022 16.493
S 3.375 1.007 2.796
S 3.551 1.007 9.914
S 4.117 1.007 13.521
S 4.190 1.007 6.454
S 7.348 3.022 20.939
S 7.420 3.022 13.872
S 7.986 3.022 17.479
S 8.162 3.022 24.597
S 9.144 1.007 10.900
S 9.320 1.007 3.783
S 9.886 1.007 0.175
S 9.958 1.007 7.242
Br 0.440 3.022 9.926
Br 5.328 1.007 23.623
Br 6.209 3.022 3.770
Br 11.097 1.007 17.467
N 0.700 3.022 3.425
N 1.133 3.022 13.315
N 1.290 3.022 6.502
N 4.479 1.007 20.199
N 4.635 1.007 27.012
N 5.068 1.007 17.122
N 6.469 3.022 10.271
N 6.902 3.022 0.382
N 7.059 3.022 7.194
N 10.248 1.007 20.891
N 10.404 1.007 14.078
N 10.837 1.007 23.968
```

---

(3)
This entry pairs a crystal structure of Pb2Br5N with its calculated powder diffractogram. Radiation: Cu Kα (weighted mean of Kα1 and Kα2). Structure: a DFT-relaxed cell (GGA-PBE, the Materials Project).
Peak positions follow from Bragg's law for the DFT cell and can differ from measured ones.

Main lines, by intensity (10 to 90 degrees two-theta):
d/Å	Position (°2θ)	I_rel
2.981	30.0	100.0
7.230	12.2	77.9
2.300	39.2	37.1
2.683	33.4	33.9
3.665	24.3	18.6
1.892	48.1	18.5
2.515	35.7	15.3
1.498	62.0	13.4
1.499	61.9	13.0
1.677	54.7	11.1

Structure:
```
16
Lattice="-4.242 4.242 7.230 4.242 -4.242 7.230 4.242 4.242 -7.230" Properties=species:S:1:pos:R:3 pbc="T T T"
Pb 5.696 1.454 0.000
Pb 1.454 2.788 0.000
Pb 2.788 1.454 7.230
Pb -1.454 2.788 7.230
Br 0.000 0.000 0.000
Br 3.048 1.194 -1.910
Br 3.048 -1.194 5.321
Br 3.048 1.194 1.910
Br 3.048 -1.194 9.140
Br 0.000 0.000 7.230
Br 1.194 5.436 -1.910
Br 1.194 3.048 5.321
Br 1.194 5.436 1.910
Br 1.194 3.048 9.140
N 0.000 0.000 3.615
N 0.000 0.000 10.846
```

---

(4)
This entry pairs a crystal structure of PdBr6N2 with its calculated powder diffractogram. Radiation: Cu Kα (weighted mean of Kα1 and Kα2). Structure: a DFT-relaxed cell (GGA-PBE, the Materials Project).
Peak positions follow from Bragg's law for the DFT cell and can differ from measured ones.

Main lines, by intensity (10 to 90 degrees two-theta):
d/Å	Position (°2θ)	I_rel
2.584	34.7	100.0
5.167	17.2	90.3
2.983	30.0	85.9
1.827	49.9	67.2
5.966	14.8	57.4
2.311	39.0	43.7
1.558	59.3	31.8
1.155	83.7	28.0
1.722	53.2	22.2
1.492	62.2	22.2

Structure:
```
9
Lattice="0.000 5.167 5.167 5.167 0.000 5.167 5.167 5.167 0.000" Properties=species:S:1:pos:R:3 pbc="T T T"
Pd 0.000 0.000 0.000
Br 5.167 5.167 2.470
Br 5.167 2.470 5.167
Br 7.864 5.167 5.167
Br 2.470 5.167 5.167
Br 5.167 7.864 5.167
Br 5.167 5.167 7.864
N 2.584 2.584 2.584
N 7.751 7.751 7.751
```

---

(5)
This entry pairs a crystal structure of Pr6S4BrN3 with its calculated powder diffractogram. Radiation: Cu Kα (weighted mean of Kα1 and Kα2). Structure: a DFT-relaxed cell (GGA-PBE, the Materials Project).
Peak positions follow from Bragg's law for the DFT cell and can differ from measured ones.

Main lines, by intensity (10 to 90 degrees two-theta):
d/Å	Position (°2θ)	I_rel
3.376	26.4	100.0
3.356	26.6	70.9
1.743	52.5	38.6
2.832	31.6	37.0
2.683	33.4	36.2
2.034	44.5	31.8
3.152	28.3	31.7
2.764	32.4	21.2
2.397	37.5	20.2
2.005	45.2	19.0

Structure:
```
56
Lattice="11.611 0.000 0.000 0.000 4.069 0.000 0.000 0.000 27.607" Properties=species:S:1:pos:R:3 pbc="T T T"
Pr 0.682 1.017 2.153
Pr 0.709 1.017 22.295
Pr 1.156 1.017 14.784
Pr 1.460 1.017 7.819
Pr 2.847 3.052 4.721
Pr 2.885 3.052 12.036
Pr 2.921 1.017 25.839
Pr 2.958 1.017 18.524
Pr 4.346 3.052 21.622
Pr 4.650 3.052 0.980
Pr 5.097 3.052 8.491
Pr 5.124 3.052 15.956
Pr 6.487 1.017 11.651
Pr 6.515 1.017 19.116
Pr 6.961 1.017 26.627
Pr 7.266 1.017 5.984
Pr 8.653 3.052 9.082
Pr 8.691 3.052 1.767
Pr 8.726 1.017 15.571
Pr 8.764 1.017 22.886
Pr 10.151 3.052 19.788
Pr 10.456 3.052 12.823
Pr 10.902 3.052 5.312
Pr 10.929 3.052 25.454
S 1.565 3.052 20.315
S 1.670 3.052 27.446
S 2.208 3.052 23.808
S 2.396 3.052 16.633
S 3.410 1.017 2.830
S 3.598 1.017 10.004
S 4.136 1.017 13.643
S 4.240 1.017 6.512
S 7.371 3.052 21.095
S 7.475 3.052 13.964
S 8.013 3.052 17.603
S 8.201 3.052 24.777
S 9.215 1.017 10.973
S 9.404 1.017 3.799
S 9.941 1.017 0.161
S 10.046 1.017 7.292
Br 0.451 3.052 10.009
Br 5.354 1.017 23.812
Br 6.257 3.052 3.795
Br 11.160 1.017 17.598
N 0.726 3.052 3.454
N 1.142 3.052 13.423
N 1.320 3.052 6.560
N 4.485 1.017 20.364
N 4.663 1.017 27.226
N 5.080 1.017 17.258
N 6.531 3.052 10.349
N 6.948 3.052 0.381
N 7.126 3.052 7.243
N 10.291 1.017 21.046
N 10.469 1.017 14.184
N 10.886 1.017 24.153
```

---

(6)
This entry pairs a crystal structure of ReBr6N2 with its calculated powder diffractogram. Radiation: Cu Kα (weighted mean of Kα1 and Kα2). Structure: a DFT-relaxed cell (GGA-PBE, the Materials Project).
Peak positions follow from Bragg's law for the DFT cell and can differ from measured ones.

Main lines, by intensity (10 to 90 degrees two-theta):
d/Å	Position (°2θ)	I_rel
5.171	17.1	100.0
5.971	14.8	87.1
2.585	34.7	83.2
1.828	49.9	56.6
2.312	38.9	49.9
2.985	29.9	38.2
3.118	28.6	33.3
1.724	53.1	25.7
1.156	83.6	23.8
1.990	45.6	23.7

Structure:
```
9
Lattice="0.000 5.171 5.171 5.171 0.000 5.171 5.171 5.171 0.000" Properties=species:S:1:pos:R:3 pbc="T T T"
Re 0.000 0.000 0.000
Br 5.171 5.171 2.462
Br 5.171 2.462 5.171
Br 7.880 5.171 5.171
Br 2.462 5.171 5.171
Br 5.171 7.880 5.171
Br 5.171 5.171 7.880
N 2.585 2.585 2.585
N 7.756 7.756 7.756
```